# AcSm2Cu2Sn2
Computed PXRD pattern, a wavelength of 1.5418 Å. Input: a DFT-relaxed cell (PBE, Alexandria).
Kinematic intensities with the Lorentz-polarization factor, no thermal factor.

a b c (Å): 10.1547 10.1547 10.1547
angles (deg): 26.57 26.57 26.57
Fractional coordinates of all 7 atoms:
Ac  0.0000  0.0000  0.0000
Sm  0.1318  0.1318  0.1318
Sm  0.8682  0.8682  0.8682
Cu  0.4198  0.4198  0.4198
Cu  0.5802  0.5802  0.5802
Sn  0.2583  0.2583  0.2583
Sn  0.7417  0.7417  0.7417

Largest 10 diffraction maxima, in order of rising 2θ, 5° ≤ 2θ ≤ 70°:
- 22.21°, rel. 37
- 30.72°, rel. 100
- 32.96°, rel. 69
- 38.59°, rel. 90
- 50.11°, rel. 26
- 51.63°, rel. 20
- 61.86°, rel. 24
- 64.98°, rel. 23
- 66.28°, rel. 19
- 69.82°, rel. 16